Computed X-ray diffraction stick pattern
Compound: Li5La2Au4
Radiation: Cu Kα (weighted mean of Kα1 and Kα2)
Structure: DFT lattice parameters and positions (GGA-PBE)

Structure:
a b c (Å): 5.549 9.457 17.377
angles (deg): 90.00 90.00 90.00
Space group Fmmm (No. 69)
Inequivalent atoms, fractional coordinates:
Li1 0.000 0.000 0.000 [4 per cell]
Li2 0.250 0.250 0.000 [8 per cell]
Li3 0.250 0.250 0.250 [8 per cell]
La1 0.000 0.000 0.359 [8 per cell]
Au1 0.000 0.161 0.130 [16 per cell]

Main lines, most intense first (10 to 90 degrees two-theta):
20.4°, I 100
36.3°, I 68
33.1°, I 60
38.5°, I 44
32.3°, I 35
49.5°, I 33
42.0°, I 19
60.2°, I 16

=====

Computed X-ray diffraction stick pattern
Compound: InTe2Pd2
Radiation: Cu Kα (weighted mean of Kα1 and Kα2)
Structure: DFT lattice parameters and positions (GGA-PBE)

Structure:
a b c (Å): 9.356 9.897 6.235
angles (deg): 90.00 118.97 90.00
Space group C2/c (No. 15)
Inequivalent atoms, fractional coordinates:
In1 0.000 0.106 0.250 [4 per cell]
Te1 0.178 0.397 0.029 [8 per cell]
Pd1 0.000 0.178 0.750 [4 per cell]
Pd2 0.000 0.375 0.250 [4 per cell]

Main lines, most intense first (10 to 90 degrees two-theta):
36.2°, I 100
29.3°, I 81
36.3°, I 55
25.3°, I 54
40.3°, I 45
34.1°, I 42
43.0°, I 39
30.5°, I 37

=====

Which formula does entry 2 have?
InTe2Pd2

=====

What is the formula in the second record?
InTe2Pd2

=====

Copy entry 2 word for word.
Computed X-ray diffraction stick pattern
Compound: InTe2Pd2
Radiation: Cu Kα (weighted mean of Kα1 and Kα2)
Structure: DFT lattice parameters and positions (GGA-PBE)

Structure:
a b c (Å): 9.356 9.897 6.235
angles (deg): 90.00 118.97 90.00
Space group C2/c (No. 15)
Inequivalent atoms, fractional coordinates:
In1 0.000 0.106 0.250 [4 per cell]
Te1 0.178 0.397 0.029 [8 per cell]
Pd1 0.000 0.178 0.750 [4 per cell]
Pd2 0.000 0.375 0.250 [4 per cell]

Main lines, most intense first (10 to 90 degrees two-theta):
36.2°, I 100
29.3°, I 81
36.3°, I 55
25.3°, I 54
40.3°, I 45
34.1°, I 42
43.0°, I 39
30.5°, I 37